[1]
# TlFeS2
Calculated powder X-ray diffraction pattern, Cu Kα, 1.54184 Å. Input: the GGA-PBE geometry in OQMD.
Neutral-atom scattering factors, no anomalous dispersion.

Top 8 peaks for 10° ≤ 2θ ≤ 90°, in order of falling intensity:
| 2θ (°) | I (rel.) |
| --- | --- |
| 27.75 | 100 |
| 31.57 | 65 |
| 28.39 | 49 |
| 20.31 | 49 |
| 24.68 | 43 |
| 43.00 | 40 |
| 49.07 | 23 |
| 37.98 | 17 |

Crystal structure
Cell lengths 6.555, 6.555, 5.107 Å; angles 101.38, 101.38, 116.11 degrees
Element x y z (fractional)
Tl: 0.143 0.857 0.750
Tl: 0.857 0.143 0.250
Fe: 0.499 0.501 0.250
Fe: 0.501 0.499 0.750
S: 0.203 0.417 0.902
S: 0.417 0.203 0.402
S: 0.583 0.797 0.598
S: 0.797 0.583 0.098

***

[2]
# U2FeS5
Calculated powder X-ray diffraction pattern, Cu Kα, 1.54184 Å. Input: the GGA-PBE geometry in OQMD.
Neutral-atom scattering factors, no anomalous dispersion.

Top 8 peaks for 10° ≤ 2θ ≤ 90°, in order of falling intensity:
| 2θ (°) | I (rel.) |
| --- | --- |
| 25.91 | 100 |
| 21.09 | 77 |
| 38.59 | 42 |
| 41.89 | 31 |
| 29.72 | 24 |
| 24.83 | 24 |
| 27.26 | 22 |
| 35.53 | 19 |

Crystal structure
Cell lengths 7.833, 7.833, 6.934 Å; angles 96.98, 96.98, 45.13 degrees
Element x y z (fractional)
U: 0.097 0.685 0.914
U: 0.315 0.903 0.586
U: 0.685 0.097 0.414
U: 0.903 0.315 0.086
Fe: 0.000 0.500 0.500
Fe: 0.500 0.000 0.000
S: 0.095 0.905 0.250
S: 0.135 0.307 0.809
S: 0.292 0.525 0.573
S: 0.307 0.135 0.309
S: 0.475 0.708 0.927
S: 0.525 0.292 0.073
S: 0.693 0.865 0.691
S: 0.708 0.475 0.427
S: 0.865 0.693 0.191
S: 0.905 0.095 0.750

***

[3]
# Tm3Sc3FeSb2
Calculated powder X-ray diffraction pattern, Cu Kα, 1.54184 Å. Input: the GGA-PBE geometry in OQMD.
Neutral-atom scattering factors, no anomalous dispersion.

Top 8 peaks for 10° ≤ 2θ ≤ 90°, in order of falling intensity:
| 2θ (°) | I (rel.) |
| --- | --- |
| 31.83 | 100 |
| 34.56 | 46 |
| 40.09 | 31 |
| 22.83 | 30 |
| 35.19 | 24 |
| 61.51 | 17 |
| 64.41 | 17 |
| 44.61 | 16 |

Crystal structure
Cell lengths 7.791, 7.791, 4.063 Å; angles 90.00, 90.00, 120.00 degrees
Element x y z (fractional)
Tm: 0.000 0.610 0.000
Tm: 0.390 0.390 0.000
Tm: 0.610 0.000 0.000
Sc: 0.000 0.226 0.500
Sc: 0.226 0.000 0.500
Sc: 0.774 0.774 0.500
Fe: 0.000 0.000 0.000
Sb: 0.333 0.667 0.500
Sb: 0.667 0.333 0.500

***

[4]
# Fe2SiSb
Calculated powder X-ray diffraction pattern, Cu Kα, 1.54184 Å. Input: the GGA-PBE geometry in OQMD.
Neutral-atom scattering factors, no anomalous dispersion.

Top 8 peaks for 10° ≤ 2θ ≤ 90°, in order of falling intensity:
| 2θ (°) | I (rel.) |
| --- | --- |
| 43.00 | 100 |
| 78.80 | 28 |
| 33.68 | 21 |
| 62.43 | 15 |
| 14.89 | 10 |
| 25.94 | 8 |
| 45.75 | 7 |
| 64.58 | 7 |

Crystal structure
Cell lengths 5.950, 5.950, 5.950 Å; angles 90.00, 90.00, 90.00 degrees
Element x y z (fractional)
Fe: 0.231 0.231 0.231
Fe: 0.231 0.231 0.769
Fe: 0.231 0.769 0.231
Fe: 0.231 0.769 0.769
Fe: 0.769 0.231 0.231
Fe: 0.769 0.231 0.769
Fe: 0.769 0.769 0.231
Fe: 0.769 0.769 0.769
Si: 0.000 0.000 0.000
Si: 0.000 0.000 0.500
Si: 0.000 0.500 0.000
Si: 0.500 0.000 0.000
Sb: 0.000 0.500 0.500
Sb: 0.500 0.000 0.500
Sb: 0.500 0.500 0.000
Sb: 0.500 0.500 0.500

***

[5]
# Fe3Si2Sb2
Calculated powder X-ray diffraction pattern, Cu Kα, 1.54184 Å. Input: the GGA-PBE geometry in OQMD.
Neutral-atom scattering factors, no anomalous dispersion.

Top 8 peaks for 10° ≤ 2θ ≤ 90°, in order of falling intensity:
| 2θ (°) | I (rel.) |
| --- | --- |
| 43.33 | 100 |
| 43.81 | 92 |
| 26.18 | 63 |
| 79.84 | 30 |
| 63.32 | 29 |
| 26.55 | 21 |
| 51.54 | 20 |
| 30.43 | 17 |

Crystal structure
Cell lengths 7.134, 7.134, 7.134 Å; angles 34.04, 34.04, 34.04 degrees
Element x y z (fractional)
Fe: 0.000 0.000 0.000
Fe: 0.253 0.253 0.253
Fe: 0.507 0.507 0.507
Si: 0.126 0.126 0.126
Si: 0.629 0.629 0.629
Sb: 0.382 0.382 0.382
Sb: 0.871 0.871 0.871

***

[6]
# SmFeSb3
Calculated powder X-ray diffraction pattern, Cu Kα, 1.54184 Å. Input: the GGA-PBE geometry in OQMD.
Neutral-atom scattering factors, no anomalous dispersion.

Top 8 peaks for 10° ≤ 2θ ≤ 90°, in order of falling intensity:
| 2θ (°) | I (rel.) |
| --- | --- |
| 35.23 | 100 |
| 41.88 | 76 |
| 32.34 | 63 |
| 32.85 | 44 |
| 36.60 | 35 |
| 29.59 | 31 |
| 28.27 | 29 |
| 36.14 | 27 |

Crystal structure
Cell lengths 12.625, 6.160, 12.091 Å; angles 90.00, 90.00, 90.00 degrees
Element x y z (fractional)
Sm: 0.195 0.222 0.250
Sm: 0.195 0.278 0.750
Sm: 0.201 0.750 0.000
Sm: 0.201 0.750 0.500
Sm: 0.799 0.250 0.000
Sm: 0.799 0.250 0.500
Sm: 0.805 0.722 0.250
Sm: 0.805 0.778 0.750
Fe: 0.399 0.036 0.638
Fe: 0.399 0.036 0.862
Fe: 0.399 0.464 0.138
Fe: 0.399 0.464 0.362
Fe: 0.601 0.536 0.638
Fe: 0.601 0.536 0.862
Fe: 0.601 0.964 0.138
Fe: 0.601 0.964 0.362
Sb: 0.003 0.014 0.624
Sb: 0.003 0.014 0.876
Sb: 0.003 0.486 0.124
Sb: 0.003 0.486 0.376
Sb: 0.280 0.250 0.000
Sb: 0.280 0.250 0.500
Sb: 0.284 0.734 0.250
Sb: 0.284 0.766 0.750
Sb: 0.442 0.115 0.250
Sb: 0.442 0.385 0.750
Sb: 0.472 0.750 0.000
Sb: 0.472 0.750 0.500
Sb: 0.528 0.250 0.000
Sb: 0.528 0.250 0.500
Sb: 0.558 0.615 0.250
Sb: 0.558 0.885 0.750
Sb: 0.716 0.234 0.250
Sb: 0.716 0.266 0.750
Sb: 0.720 0.750 0.000
Sb: 0.720 0.750 0.500
Sb: 0.997 0.514 0.624
Sb: 0.997 0.514 0.876
Sb: 0.997 0.986 0.124
Sb: 0.997 0.986 0.376

***

Repeat the fifth record exactly.
# Fe3Si2Sb2
Calculated powder X-ray diffraction pattern, Cu Kα, 1.54184 Å. Input: the GGA-PBE geometry in OQMD.
Neutral-atom scattering factors, no anomalous dispersion.

Top 8 peaks for 10° ≤ 2θ ≤ 90°, in order of falling intensity:
| 2θ (°) | I (rel.) |
| --- | --- |
| 43.33 | 100 |
| 43.81 | 92 |
| 26.18 | 63 |
| 79.84 | 30 |
| 63.32 | 29 |
| 26.55 | 21 |
| 51.54 | 20 |
| 30.43 | 17 |

Crystal structure
Cell lengths 7.134, 7.134, 7.134 Å; angles 34.04, 34.04, 34.04 degrees
Element x y z (fractional)
Fe: 0.000 0.000 0.000
Fe: 0.253 0.253 0.253
Fe: 0.507 0.507 0.507
Si: 0.126 0.126 0.126
Si: 0.629 0.629 0.629
Sb: 0.382 0.382 0.382
Sb: 0.871 0.871 0.871